No. 1
Diffraction record for RbBa2Au6. The powder X-ray diffraction pattern is simulated, not measured: it uses a DFT-relaxed cell (PBE, Alexandria) and Cu Kα X-rays.
Kinematic intensities with the Lorentz-polarization factor, no thermal factor.

Structure:
a = 8.4497 Å, b = 8.4497 Å, c = 4.3204 Å
α = 90.00°, β = 90.00°, γ = 120.00°
Element x y z (fractional)
Rb: 0.0000 0.0000 0.0000
Ba: 0.3333 0.6667 0.0000
Ba: 0.6667 0.3333 0.0000
Au: 0.0000 0.3340 0.5000
Au: 0.0000 0.6660 0.5000
Au: 0.3340 0.0000 0.5000
Au: 0.3340 0.3340 0.5000
Au: 0.6660 0.0000 0.5000
Au: 0.6660 0.6660 0.5000

Main lines, in order of rising 2θ (10 to 80 degrees two-theta):
2theta, Rel. int.
20.6, 31
29.6, 100
36.8, 74
41.8, 17
42.6, 30
47.9, 27
56.9, 43
62.0, 25
66.4, 14
68.9, 9

***

No. 2
Diffraction record for LaSeIO4. The powder X-ray diffraction pattern is simulated, not measured: it uses a DFT-relaxed cell (PBE, Alexandria) and Cu Kα X-rays.
Kinematic intensities with the Lorentz-polarization factor, no thermal factor.

Structure:
a = 6.6143 Å, b = 6.6143 Å, c = 7.1527 Å
α = 101.27°, β = 101.27°, γ = 67.98°
Element x y z (fractional)
La: 0.2462 0.2462 0.1538
La: 0.7538 0.7538 0.8462
Se: 0.3665 0.3665 0.7425
Se: 0.6335 0.6335 0.2575
I: 0.0262 0.0262 0.7543
I: 0.9738 0.9738 0.2457
O: 0.1417 0.4914 0.8594
O: 0.2977 0.2977 0.5097
O: 0.4793 0.4793 0.2239
O: 0.4914 0.1417 0.8594
O: 0.5086 0.8583 0.1406
O: 0.5207 0.5207 0.7761
O: 0.7023 0.7023 0.4903
O: 0.8583 0.5086 0.1406

Main lines, in order of rising 2θ (10 to 80 degrees two-theta):
2theta, Rel. int.
12.7, 25
24.1, 100
25.6, 45
27.9, 39
28.1, 51
31.3, 26
33.2, 26
33.8, 50
35.4, 35
44.9, 21

***

No. 3
Diffraction record for AcTmBi. The powder X-ray diffraction pattern is simulated, not measured: it uses a DFT-relaxed cell (PBE, Alexandria) and Cu Kα X-rays.
Kinematic intensities with the Lorentz-polarization factor, no thermal factor.

Structure:
a = 4.3031 Å, b = 14.3870 Å, c = 6.8040 Å
α = 90.00°, β = 90.00°, γ = 90.00°
Element x y z (fractional)
Ac: 0.0000 0.0000 0.0000
Ac: 0.0000 0.0000 0.5000
Ac: 0.5000 0.5000 0.0000
Ac: 0.5000 0.5000 0.5000
Tm: 0.0000 0.3066 0.2500
Tm: 0.0000 0.6934 0.7500
Tm: 0.5000 0.1934 0.7500
Tm: 0.5000 0.8066 0.2500
Bi: 0.0000 0.3460 0.7500
Bi: 0.0000 0.6540 0.2500
Bi: 0.5000 0.1540 0.2500
Bi: 0.5000 0.8460 0.7500

Main lines, in order of rising 2θ (10 to 80 degrees two-theta):
2theta, Rel. int.
27.9, 100
29.0, 50
34.2, 58
36.3, 19
37.5, 18
39.9, 14
42.0, 19
46.4, 27
51.9, 20
61.8, 22

***

No. 4
Diffraction record for Sr5Br8Cl2. The powder X-ray diffraction pattern is simulated, not measured: it uses a DFT-relaxed cell (PBE, Alexandria) and Cu Kα X-rays.
Kinematic intensities with the Lorentz-polarization factor, no thermal factor.

Structure:
a = 11.5895 Å, b = 11.5895 Å, c = 7.1506 Å
α = 90.00°, β = 90.00°, γ = 90.00°
Element x y z (fractional)
Sr: 0.0945 0.8917 0.2489
Sr: 0.1083 0.5945 0.7511
Sr: 0.2500 0.2500 0.1462
Sr: 0.3917 0.9055 0.7511
Sr: 0.4055 0.6083 0.2489
Sr: 0.5945 0.3917 0.7511
Sr: 0.6083 0.0945 0.2489
Sr: 0.7500 0.7500 0.8538
Sr: 0.8917 0.4055 0.2489
Sr: 0.9055 0.1083 0.7511
Br: 0.0370 0.1556 0.3764
Br: 0.0406 0.3403 0.8996
Br: 0.1556 0.4630 0.3764
Br: 0.1597 0.0406 0.8996
Br: 0.3403 0.4594 0.8996
Br: 0.3444 0.0370 0.3764
Br: 0.4594 0.1597 0.8996
Br: 0.4630 0.3444 0.3764
Br: 0.5370 0.6556 0.6236
Br: 0.5406 0.8403 0.1004
Br: 0.6556 0.9630 0.6236
Br: 0.6597 0.5406 0.1004
Br: 0.8403 0.9594 0.1004
Br: 0.8444 0.5370 0.6236
Br: 0.9594 0.6597 0.1004
Br: 0.9630 0.8444 0.6236
Cl: 0.2500 0.7500 0.0000
Cl: 0.2500 0.7500 0.5000
Cl: 0.7500 0.2500 0.0000
Cl: 0.7500 0.2500 0.5000

Main lines, in order of rising 2θ (10 to 80 degrees two-theta):
2theta, Rel. int.
21.2, 38
26.1, 33
27.3, 100
30.4, 55
30.5, 82
34.3, 77
34.6, 62
35.1, 50
41.7, 53
43.9, 35